Theoretical powder XRD pattern of RbTm2 for Cu Ka, from a DFT-relaxed cell (GGA-PBE, OQMD).
Lines closer than 0.1° are merged.

Peak list (10 most intense, 15° ≤ 2θ ≤ 90°, low angle first)
2theta, I (rel.)
15.3, 34
29.4, 100
30.8, 64
35.7, 18
46.9, 37
51.4, 36
60.3, 13
61.1, 27
72.1, 23
83.2, 13

Atomic structure:
```
RbTm2
1.0
0.0000 5.0303 5.0303
5.0303 0.0000 5.0303
5.0303 5.0303 0.0000
Rb Tm
2 4
direct
0.1250 0.1250 0.1250
0.8750 0.8750 0.8750
0.0000 0.5000 0.5000
0.5000 0.0000 0.5000
0.5000 0.5000 0.0000
0.5000 0.5000 0.5000
```